1.
This entry pairs a crystal structure of Ba2EuBiO6 with its calculated PXRD pattern. Radiation: Cu Kα, 1.54184 Å. Structure: a crystal structure in the Materials Project, relaxed with PBE.
Lines closer than 0.1° are merged.

Most intense lines, 10 to 90 degrees two-theta, in order of rising 2θ:
2theta	I (rel.)	index
20.18	6	2 0 0
28.69	100	2 2 0
41.03	29	4 0 0
46.13	3	4 2 0
50.83	42	4 2 2
59.42	18	4 4 0
67.29	19	6 2 0
74.74	6	4 4 4
81.93	22	6 4 2
88.99	3	8 0 0

```
data_Ba2EuBiO6
_chemical_formula_sum 'Ba8 Eu4 Bi4 O24'
_cell_length_a 8.800
_cell_length_b 8.800
_cell_length_c 8.800
_cell_angle_alpha 90.00
_cell_angle_beta 90.00
_cell_angle_gamma 90.00
_symmetry_space_group_name_H-M 'F m -3 m'
_symmetry_Int_Tables_number 225
_symmetry_space_group_name_Hall '-F 4 2 3'
loop_
_atom_site_label
_atom_site_type_symbol
_atom_site_fract_x
_atom_site_fract_y
_atom_site_fract_z
_atom_site_occupancy
Ba1 Ba 0.250 0.250 0.250 1
Eu1 Eu 0.000 0.000 0.000 1
Bi1 Bi 0.000 0.000 0.500 1
O1 O 0.000 0.000 0.258 1
```

=====

2.
This entry pairs a crystal structure of HoRu2 with its calculated PXRD pattern. Radiation: Cu Kα, 1.54184 Å. Structure: a crystal structure in the Materials Project, relaxed with PBE.
Lines closer than 0.1° are merged.

Most intense lines, 10 to 90 degrees two-theta, in order of rising 2θ:
2theta	I (rel.)	index
34.05	45	1 1 0
36.10	96	1 0 3
39.52	13	2 0 0
39.77	100	1 1 2
40.85	75	2 0 1
62.28	35	2 1 3
64.80	24	3 0 2
66.62	31	2 0 5
71.68	26	2 2 0
82.98	17	3 1 3

```
data_HoRu2
_chemical_formula_sum 'Ho4 Ru8'
_cell_length_a 5.2662
_cell_length_b 5.2662
_cell_length_c 8.9068
_cell_angle_alpha 90.00
_cell_angle_beta 90.00
_cell_angle_gamma 120.00
_symmetry_space_group_name_H-M 'P 63/m m c'
_symmetry_Int_Tables_number 194
_symmetry_space_group_name_Hall '-P 6c 2c'
loop_
_atom_site_label
_atom_site_type_symbol
_atom_site_fract_x
_atom_site_fract_y
_atom_site_fract_z
_atom_site_occupancy
Ho1 Ho 0.3333 0.6667 0.0665 1
Ru1 Ru 0.0000 0.0000 0.0000 1
Ru2 Ru 0.1713 0.3427 0.7500 1
```

=====

3.
This entry pairs a crystal structure of Na3ZrNbSi3O12 with its calculated PXRD pattern. Radiation: Cu Kα, 1.54184 Å. Structure: a crystal structure in the Materials Project, relaxed with PBE.
Lines closer than 0.1° are merged.

Most intense lines, 10 to 90 degrees two-theta, in order of rising 2θ:
2theta	I (rel.)	index
13.65	12	2 0 0
19.34	100	1 1 1
19.42	15	2 0 -2
22.71	16	0 2 1
27.54	20	2 2 -2
30.77	39	3 1 1
30.92	19	3 1 -3
33.84	35	3 3 -1
33.91	14	6 0 -2
52.80	15	3 5 -1

```
data_Na3ZrNbSi3O12
_chemical_formula_sum 'Na12 Zr4 Nb4 Si12 O48'
_cell_length_a 15.858
_cell_length_b 9.178
_cell_length_c 9.143
_cell_angle_alpha 90.00
_cell_angle_beta 124.92
_cell_angle_gamma 90.00
_symmetry_space_group_name_H-M 'C 1 c 1'
_symmetry_Int_Tables_number 9
loop_
_symmetry_equiv_pos_as_xyz
'x,y,z'
'x,-y,z+1/2'
'x+1/2,y+1/2,z'
'x+1/2,-y+1/2,z+1/2'
loop_
_atom_site_label
_atom_site_type_symbol
_atom_site_fract_x
_atom_site_fract_y
_atom_site_fract_z
_atom_site_occupancy
Na1 Na 0.000 0.056 0.000 1
Na2 Na 0.064 0.272 0.704 1
Na3 Na 0.309 0.111 0.950 1
Zr1 Zr 0.416 0.249 0.773 1
Nb1 Nb 0.202 0.254 0.139 1
Si1 Si 0.164 0.101 0.462 1
Si2 Si 0.305 0.459 0.960 1
Si3 Si 0.455 0.109 0.449 1
O1 O 0.050 0.305 0.961 1
O2 O 0.066 0.161 0.457 1
O3 O 0.159 0.079 0.962 1
O4 O 0.164 0.142 0.283 1
O5 O 0.221 0.355 0.961 1
O6 O 0.242 0.425 0.287 1
O7 O 0.271 0.158 0.641 1
O8 O 0.345 0.171 0.267 1
O9 O 0.375 0.445 0.638 1
O10 O 0.383 0.353 0.947 1
O11 O 0.454 0.160 0.618 1
O12 O 0.463 0.067 0.951 1
```

=====

4.
This entry pairs a crystal structure of SbBrO with its calculated PXRD pattern. Radiation: Cu Kα, 1.54184 Å. Structure: a crystal structure in the Materials Project, relaxed with PBE.
Lines closer than 0.1° are merged.

Most intense lines, 10 to 90 degrees two-theta, in order of rising 2θ:
2theta	I (rel.)	index
12.01	19	0 1 1
13.15	19	1 1 0
22.85	30	2 1 0
24.76	82	1 2 -2
26.45	56	2 1 1
29.69	100	0 3 2
31.60	19	2 0 2
33.94	25	3 0 -2
40.15	22	2 1 3
44.62	28	1 2 4

```
data_SbBrO
_chemical_formula_sum 'Sb12 Br12 O12'
_cell_length_a 8.455
_cell_length_b 11.633
_cell_length_c 9.753
_cell_angle_alpha 90.00
_cell_angle_beta 102.38
_cell_angle_gamma 90.00
_symmetry_space_group_name_H-M 'P 1 21/c 1'
_symmetry_Int_Tables_number 14
loop_
_symmetry_equiv_pos_as_xyz
'x,y,z'
'-x,-y,-z'
'-x,y+1/2,-z+1/2'
'x,-y+1/2,z+1/2'
loop_
_atom_site_label
_atom_site_type_symbol
_atom_site_fract_x
_atom_site_fract_y
_atom_site_fract_z
_atom_site_occupancy
Sb1 Sb 0.024 0.174 0.241 1
Sb2 Sb 0.208 0.531 0.065 1
Sb3 Sb 0.392 0.748 0.391 1
Br1 Br 0.098 0.134 0.876 1
Br2 Br 0.375 0.599 0.588 1
Br3 Br 0.397 0.112 0.353 1
O1 O 0.029 0.072 0.414 1
O2 O 0.205 0.660 0.930 1
O3 O 0.216 0.662 0.249 1
```

=====

5.
This entry pairs a crystal structure of Cs3Sc2Cl9 with its calculated PXRD pattern. Radiation: Cu Kα, 1.54184 Å. Structure: a crystal structure in the Materials Project, relaxed with PBE.
Lines closer than 0.1° are merged.

Most intense lines, 10 to 90 degrees two-theta, in order of rising 2θ:
2theta	I (rel.)	index
19.81	51	1 1 3
23.61	37	3 0 0
28.97	21	0 0 6
31.00	100	2 2 3
39.33	14	1 4 3
40.24	23	2 2 6
48.30	22	6 0 0
52.65	28	2 2 9
57.31	15	6 0 6
58.49	19	4 4 3

```
data_Cs3Sc2Cl9
_chemical_formula_sum 'Cs18 Sc12 Cl54'
_cell_length_a 13.0556
_cell_length_b 13.0556
_cell_length_c 18.4931
_cell_angle_alpha 90.00
_cell_angle_beta 90.00
_cell_angle_gamma 120.00
_symmetry_space_group_name_H-M 'R -3 c'
_symmetry_Int_Tables_number 167
_symmetry_space_group_name_Hall '-R 3 2"c'
loop_
_atom_site_label
_atom_site_type_symbol
_atom_site_fract_x
_atom_site_fract_y
_atom_site_fract_z
_atom_site_occupancy
Cs1 Cs 0.0000 0.3359 0.2500 1
Sc1 Sc 0.0000 0.0000 0.1530 1
Cl1 Cl 0.0000 0.1476 0.7500 1
Cl2 Cl 0.0008 0.1635 0.4090 1
```

=====

6.
This entry pairs a crystal structure of Li2WS4 with its calculated PXRD pattern. Radiation: Cu Kα, 1.54184 Å. Structure: a crystal structure in the Materials Project, relaxed with PBE.
Lines closer than 0.1° are merged.

Most intense lines, 10 to 90 degrees two-theta, in order of rising 2θ:
2theta	I (rel.)	index
16.87	100	1 0 1
20.65	19	1 1 0
26.82	29	1 1 2
29.49	13	1 0 3
34.06	30	2 0 2
42.07	24	2 2 0
45.59	8	2 2 2
45.73	17	2 0 4
50.55	8	3 1 2
55.14	10	3 2 1

```
data_Li2WS4
_chemical_formula_sum 'Li4 W2 S8'
_cell_length_a 6.083
_cell_length_b 6.083
_cell_length_c 10.478
_cell_angle_alpha 90.00
_cell_angle_beta 90.00
_cell_angle_gamma 90.00
_symmetry_space_group_name_H-M 'I -4 2 m'
_symmetry_Int_Tables_number 121
_symmetry_space_group_name_Hall 'I -4 2'
loop_
_atom_site_label
_atom_site_type_symbol
_atom_site_fract_x
_atom_site_fract_y
_atom_site_fract_z
_atom_site_occupancy
Li1 Li 0.000 0.500 0.000 1
W1 W 0.000 0.000 0.000 1
S1 S 0.212 0.212 0.119 1
```

=====

7.
This entry pairs a crystal structure of MgAlVS4 with its calculated PXRD pattern. Radiation: Cu Kα, 1.54184 Å. Structure: a crystal structure in the Materials Project, relaxed with PBE.
Lines closer than 0.1° are merged.

Most intense lines, 10 to 90 degrees two-theta, in order of rising 2θ:
2theta	I (rel.)	index
14.89	60	1 1 0
28.53	24	3 1 0
29.18	44	3 1 -2
34.46	50	4 0 0
35.30	97	2 2 -2
45.34	25	5 1 0
46.21	25	3 3 -2
50.16	100	6 2 -2
50.36	26	0 4 0
51.20	24	4 0 -4

```
data_MgAlVS4
_chemical_formula_sum 'Mg4 Al4 V4 S16'
_cell_length_a 12.614
_cell_length_b 7.247
_cell_length_c 7.137
_cell_angle_alpha 90.00
_cell_angle_beta 124.37
_cell_angle_gamma 90.00
_symmetry_space_group_name_H-M 'C 1 2/m 1'
_symmetry_Int_Tables_number 12
loop_
_symmetry_equiv_pos_as_xyz
'x,y,z'
'-x,-y,-z'
'-x,y,-z'
'x,-y,z'
'x+1/2,y+1/2,z'
'-x+1/2,-y+1/2,-z'
'-x+1/2,y+1/2,-z'
'x+1/2,-y+1/2,z'
loop_
_atom_site_label
_atom_site_type_symbol
_atom_site_fract_x
_atom_site_fract_y
_atom_site_fract_z
_atom_site_occupancy
Mg1 Mg 0.126 0.000 0.376 1
Al1 Al 0.250 0.250 0.000 1
V1 V 0.000 0.500 0.000 1
V2 V 0.000 0.500 0.500 1
S1 S 0.015 0.269 0.766 1
S2 S 0.237 0.500 0.213 1
S3 S 0.237 0.500 0.761 1
```

=====

8.
This entry pairs a crystal structure of SrCuSe2O6 with its calculated PXRD pattern. Radiation: Cu Kα, 1.54184 Å. Structure: a crystal structure in the Materials Project, relaxed with PBE.
Lines closer than 0.1° are merged.

Most intense lines, 10 to 90 degrees two-theta, in order of rising 2θ:
2theta	I (rel.)	index
21.78	43	2 0 0
23.30	88	1 1 -2
24.62	41	2 0 -2
31.07	34	1 1 -4
31.37	100	1 1 4
32.02	32	2 0 -4
34.31	36	0 2 0
37.26	86	3 1 0
47.63	33	2 2 -4
52.59	28	1 1 -8

```
data_SrCuSe2O6
_chemical_formula_sum 'Sr4 Cu4 Se8 O24'
_cell_length_a 8.163
_cell_length_b 5.228
_cell_length_c 15.098
_cell_angle_alpha 90.00
_cell_angle_beta 91.00
_cell_angle_gamma 90.00
_symmetry_space_group_name_H-M 'C 1 2/c 1'
_symmetry_Int_Tables_number 15
loop_
_symmetry_equiv_pos_as_xyz
'x,y,z'
'-x,-y,-z'
'-x,y,-z+1/2'
'x,-y,z+1/2'
'x+1/2,y+1/2,z'
'-x+1/2,-y+1/2,-z'
'-x+1/2,y+1/2,-z+1/2'
'x+1/2,-y+1/2,z+1/2'
loop_
_atom_site_label
_atom_site_type_symbol
_atom_site_fract_x
_atom_site_fract_y
_atom_site_fract_z
_atom_site_occupancy
Sr1 Sr 0.000 0.060 0.250 1
Cu1 Cu 0.000 0.000 0.000 1
Se1 Se 0.143 0.500 0.094 1
O1 O 0.026 0.292 0.418 1
O2 O 0.044 0.205 0.606 1
O3 O 0.197 0.439 0.201 1
```